LiTm3In: simulated powder diffraction line list (Cu Kα (weighted mean of Kα1 and Kα2)), based on a structure optimized by DFT (PBE).

Crystal structure
Cell lengths 8.327, 6.644, 10.193 Å; angles 90.00, 107.74, 90.00 degrees
Positions (direct):
Li1 0.005 0.250 0.002
Li2 0.005 0.250 0.502
Li3 0.995 0.750 0.498
Li4 0.995 0.750 0.998
Tm1 0.218 0.003 0.305
Tm2 0.218 0.003 0.805
Tm3 0.218 0.497 0.305
Tm4 0.218 0.497 0.805
Tm5 0.407 0.750 0.102
Tm6 0.407 0.750 0.602
Tm7 0.593 0.250 0.398
Tm8 0.593 0.250 0.898
Tm9 0.782 0.503 0.195
Tm10 0.782 0.503 0.695
Tm11 0.782 0.997 0.195
Tm12 0.782 0.997 0.695
In1 0.376 0.250 0.094
In2 0.376 0.250 0.594
In3 0.624 0.750 0.406
In4 0.624 0.750 0.906

Peak list (12 most intense, 10 to 90 degrees two-theta, sorted by position)
- hkl 1 0 0, 2θ 11.16, d = 7.931 Å, I 40.7
- hkl 1 0 -2, 2θ 18.28, d = 4.852 Å, I 31.2
- hkl 2 0 0, 2θ 22.42, d = 3.966 Å, I 20.6
- hkl 1 2 0, 2θ 29.15, d = 3.064 Å, I 31.6
- hkl 1 2 -2, 2θ 32.67, d = 2.741 Å, I 73.7
- hkl 2 0 2, 2θ 33.27, d = 2.693 Å, I 100.0
- hkl 1 0 -4, 2θ 35.23, d = 2.548 Å, I 80.6
- hkl 1 2 2, 2θ 36.49, d = 2.463 Å, I 64.3
- hkl 3 2 0, 2θ 43.75, d = 2.069 Å, I 18.3
- hkl 2 2 -4, 2θ 46.34, d = 1.959 Å, I 17.8
- hkl 1 2 4, 2θ 50.68, d = 1.801 Å, I 24.7
- hkl 2 4 2, 2θ 66.09, d = 1.414 Å, I 27.8